Structure and simulated X-ray powder pattern of Pr3Ir2N4 (a crystal structure in OQMD, relaxed with GGA-PBE; a wavelength of 1.5418 Å).
Lines closer than 0.1° are merged.

```
Pr3Ir2N4
1.0
6.7538 0.0000 0.0000
0.0000 3.2258 0.0000
-1.1207 0.0000 6.8068
Pr Ir N
3 2 4
Direct
0.0000 0.0000 0.0000
0.0472 0.0000 0.5085
0.4678 0.0000 0.2507
0.4057 0.5000 0.8306
0.6520 0.0000 0.6715
0.1178 0.5000 0.7818
0.1893 0.5000 0.2752
0.6981 0.5000 0.4894
0.7043 0.5000 0.8824
```

Principal peaks in the range 2θ = 10–90°, by angle:
| two_theta | I (rel.) |
| --- | --- |
| 13.01 | 59.2 |
| 26.75 | 37.2 |
| 31.40 | 100.0 |
| 32.66 | 53.5 |
| 34.46 | 44.7 |
| 38.86 | 39.6 |
| 39.34 | 56.7 |
| 39.64 | 44.8 |

=====

Structure and simulated X-ray powder pattern of TmZr (a crystal structure in OQMD, relaxed with GGA-PBE; a wavelength of 1.5418 Å).
Lines closer than 0.1° are merged.

```
TmZr
1.0
5.3092 0.0000 0.0000
0.0000 8.4782 2.9162
0.0000 -8.4782 2.9162
Tm Zr
5 5
Direct
0.0000 0.0000 0.0000
0.0000 0.4138 0.6200
0.0000 0.6200 0.4138
0.5000 0.0637 0.2732
0.5000 0.2732 0.0637
0.0000 0.2045 0.7895
0.0000 0.7895 0.2045
0.5000 0.4791 0.8857
0.5000 0.6694 0.6694
0.5000 0.8857 0.4791
```

Principal peaks in the range 2θ = 10–90°, by angle:
| two_theta | I (rel.) |
| --- | --- |
| 30.49 | 23.8 |
| 33.76 | 37.2 |
| 34.96 | 100.0 |
| 35.11 | 49.2 |
| 46.13 | 15.2 |
| 54.40 | 18.9 |
| 61.17 | 19.6 |
| 65.58 | 20.8 |

=====

Structure and simulated X-ray powder pattern of CsRbTbAg2Se4 (a crystal structure in OQMD, relaxed with GGA-PBE; a wavelength of 1.5418 Å).
Lines closer than 0.1° are merged.

```
CsRbTbAg2Se4
1.0
6.4626 0.0000 0.0000
0.0000 6.4768 0.0000
-3.1619 0.0000 6.8616
Cs Rb Tb Ag Se
1 1 1 2 4
Direct
0.0000 0.0000 0.0000
0.5000 0.4673 0.0000
0.5000 0.7321 0.5000
0.0000 0.7325 0.5000
0.5000 0.2320 0.5000
0.1448 0.4807 0.2858
0.3545 0.9831 0.7150
0.6455 0.9831 0.2850
0.8552 0.4807 0.7142
```

Principal peaks in the range 2θ = 10–90°, by angle:
| two_theta | I (rel.) |
| --- | --- |
| 12.90 | 51.6 |
| 27.48 | 86.5 |
| 27.67 | 83.4 |
| 30.50 | 99.2 |
| 39.39 | 100.0 |
| 48.57 | 37.9 |
| 48.72 | 56.6 |
| 49.01 | 35.4 |

=====

Structure and simulated X-ray powder pattern of CdBiBF10 (a crystal structure in OQMD, relaxed with GGA-PBE; a wavelength of 1.5418 Å).
Lines closer than 0.1° are merged.

```
CdBiBF10
1.0
8.0893 0.0000 0.0000
0.0000 9.1626 0.0000
-0.4100 0.0000 8.5734
Cd Bi B F
4 4 4 40
Direct
0.1736 0.0301 0.3020
0.1736 0.4699 0.8020
0.8264 0.5301 0.1980
0.8264 0.9699 0.6980
0.3397 0.0595 0.7392
0.3397 0.4405 0.2392
0.6603 0.5595 0.7608
0.6603 0.9405 0.2608
0.0659 0.7224 0.4978
0.0659 0.7776 0.9978
0.9341 0.2224 0.0022
0.9341 0.2776 0.5022
0.0190 0.6561 0.3558
0.0190 0.8439 0.8558
0.0761 0.2259 0.4319
0.0761 0.2741 0.9319
0.0908 0.0589 0.6807
0.0908 0.4411 0.1807
0.1435 0.6188 0.5951
0.1435 0.8812 0.0951
0.1787 0.6636 0.9724
0.1787 0.8364 0.4724
0.3279 0.0789 0.9699
0.3279 0.4211 0.4699
0.3291 0.2187 0.2262
0.3291 0.2813 0.7262
0.3438 0.6562 0.2548
0.3438 0.8438 0.7548
0.3665 0.0788 0.5045
0.3665 0.4212 0.0045
0.4115 0.5775 0.7378
0.4115 0.9225 0.2378
0.5885 0.0775 0.7622
0.5885 0.4225 0.2622
0.6335 0.5788 0.9955
0.6335 0.9212 0.4955
0.6562 0.1562 0.2452
0.6562 0.3438 0.7452
0.6709 0.7187 0.2738
0.6709 0.7813 0.7738
0.6721 0.5789 0.5301
0.6721 0.9211 0.0301
0.8213 0.1636 0.5276
0.8213 0.3364 0.0276
0.8565 0.1188 0.9049
0.8565 0.3812 0.4049
0.9092 0.5589 0.8193
0.9092 0.9411 0.3193
0.9239 0.7259 0.0681
0.9239 0.7741 0.5681
0.9810 0.1561 0.1442
0.9810 0.3439 0.6442
```

Principal peaks in the range 2θ = 10–90°, by angle:
| two_theta | I (rel.) |
| --- | --- |
| 19.38 | 66.5 |
| 20.72 | 83.0 |
| 22.00 | 38.4 |
| 25.83 | 100.0 |
| 26.68 | 55.5 |
| 28.52 | 52.9 |
| 31.31 | 31.8 |
| 40.74 | 31.8 |

=====

Structure and simulated X-ray powder pattern of Sc4Fe3W2C3 (a crystal structure in OQMD, relaxed with GGA-PBE; a wavelength of 1.5418 Å).
Lines closer than 0.1° are merged.

```
Sc4Fe3W2C3
1.0
4.8592 -2.6289 0.0000
4.8592 2.6289 0.0000
-3.3195 0.0000 13.5884
Sc Fe W C
8 6 4 6
Direct
0.0421 0.1954 0.1031
0.1201 0.3045 0.3992
0.1954 0.0421 0.6031
0.3045 0.1201 0.8992
0.6955 0.8799 0.1008
0.8046 0.9579 0.3969
0.8799 0.6955 0.6008
0.9579 0.8046 0.8969
0.0866 0.9134 0.7500
0.3461 0.4194 0.2495
0.4194 0.3461 0.7495
0.5806 0.6539 0.2505
0.6539 0.5806 0.7505
0.9134 0.0866 0.2500
0.3477 0.5258 0.0784
0.4742 0.6523 0.4216
0.5258 0.3477 0.5784
0.6523 0.4742 0.9216
0.0000 0.5000 0.0000
0.1837 0.6601 0.4989
0.3399 0.8163 0.0011
0.5000 0.0000 0.5000
0.6601 0.1837 0.9989
0.8163 0.3399 0.5011
```

Principal peaks in the range 2θ = 10–90°, by angle:
| two_theta | I (rel.) |
| --- | --- |
| 18.80 | 56.3 |
| 19.32 | 96.6 |
| 24.62 | 31.0 |
| 34.76 | 48.4 |
| 38.12 | 100.0 |
| 38.29 | 94.2 |
| 39.64 | 36.1 |
| 39.81 | 70.6 |

=====

Structure and simulated X-ray powder pattern of NaCu3GeS4 (a crystal structure in OQMD, relaxed with GGA-PBE; a wavelength of 1.5418 Å).
Lines closer than 0.1° are merged.

```
NaCu3GeS4
1.0
5.5337 0.0000 0.0000
0.0000 7.2383 0.0000
-2.3100 0.0000 9.0728
Na Cu Ge S
2 6 2 8
Direct
0.1576 0.2500 0.3736
0.8424 0.7500 0.6264
0.2983 0.5582 0.0297
0.2983 0.9418 0.0297
0.4257 0.7500 0.2731
0.5743 0.2500 0.7269
0.7017 0.0582 0.9703
0.7017 0.4418 0.9703
0.1262 0.2500 0.7718
0.8738 0.7500 0.2282
0.0404 0.2500 0.9996
0.1799 0.7500 0.4293
0.3595 0.5132 0.7813
0.3595 0.9868 0.7813
0.6405 0.0132 0.2187
0.6405 0.4868 0.2187
0.8201 0.2500 0.5707
0.9596 0.7500 0.0004
```

Principal peaks in the range 2θ = 10–90°, by angle:
| two_theta | I (rel.) |
| --- | --- |
| 15.66 | 100.0 |
| 26.52 | 22.6 |
| 29.78 | 15.8 |
| 30.10 | 22.9 |
| 35.71 | 19.7 |
| 39.74 | 17.8 |
| 45.14 | 27.9 |
| 46.66 | 34.8 |

=====

Structure and simulated X-ray powder pattern of LiAuC4S4O12F12 (a crystal structure in OQMD, relaxed with GGA-PBE; a wavelength of 1.5418 Å).
Lines closer than 0.1° are merged.

```
LiAuC4S4O12F12
1.0
4.7947 0.0000 0.0000
-0.4698 8.1642 0.0000
-0.5927 -0.8366 10.0019
Li Au C S O F
1 1 4 4 12 12
Direct
0.0000 0.0000 0.0000
0.5000 0.5000 0.0000
0.1550 0.3255 0.3598
0.4377 0.1646 0.6667
0.5623 0.8354 0.3333
0.8450 0.6745 0.6402
0.0721 0.3374 0.1806
0.4706 0.1513 0.8487
0.5294 0.8487 0.1513
0.9279 0.6626 0.8194
0.0608 0.5106 0.8305
0.0832 0.8145 0.8646
0.1884 0.1568 0.8890
0.3501 0.6919 0.1061
0.3679 0.9877 0.1294
0.3713 0.3438 0.1350
0.6287 0.6562 0.8650
0.6321 0.0123 0.8706
0.6499 0.3081 0.8939
0.8116 0.8432 0.1110
0.9168 0.1855 0.1354
0.9392 0.4894 0.1695
0.0878 0.6888 0.5805
0.2872 0.0304 0.6099
0.3020 0.4634 0.4094
0.3026 0.2998 0.6421
0.3043 0.1943 0.3799
0.3079 0.8262 0.3819
0.6921 0.1738 0.6181
0.6957 0.8057 0.6201
0.6974 0.7002 0.3579
0.6980 0.5366 0.5906
0.7128 0.9696 0.3901
0.9122 0.3112 0.4195
```

Principal peaks in the range 2θ = 10–90°, by angle:
| two_theta | I (rel.) |
| --- | --- |
| 10.87 | 100.0 |
| 13.44 | 57.2 |
| 14.60 | 52.6 |
| 18.57 | 52.8 |
| 22.90 | 88.3 |
| 23.09 | 61.4 |
| 24.30 | 80.6 |
| 27.14 | 61.5 |

=====

Structure and simulated X-ray powder pattern of NaHfTe3Pd (a crystal structure in OQMD, relaxed with GGA-PBE; a wavelength of 1.5418 Å).
Lines closer than 0.1° are merged.

```
NaHfTe3Pd
1.0
1.9667 -7.5516 0.0000
1.9667 7.5516 0.0000
0.0000 0.0000 10.6002
Na Hf Te Pd
2 2 6 2
Direct
0.2309 0.7691 0.7500
0.7691 0.2309 0.2500
0.0000 0.0000 0.0000
0.0000 0.0000 0.5000
0.0901 0.9099 0.2500
0.3621 0.6379 0.0480
0.3621 0.6379 0.4520
0.6379 0.3621 0.5480
0.6379 0.3621 0.9520
0.9099 0.0901 0.7500
0.4699 0.5301 0.2500
0.5301 0.4699 0.7500
```

Principal peaks in the range 2θ = 10–90°, by angle:
| two_theta | I (rel.) |
| --- | --- |
| 11.72 | 96.6 |
| 27.88 | 24.9 |
| 28.81 | 26.4 |
| 30.04 | 36.1 |
| 33.49 | 100.0 |
| 33.82 | 30.4 |
| 41.36 | 45.1 |
| 46.16 | 21.6 |

=====

- What is the formula in the fifth record?
  Sc4Fe3W2C3

=====

- What is the formula in the sixth record?
  NaCu3GeS4